Diffraction record for ZnTcAg2. The powder X-ray diffraction pattern is simulated, not measured: it uses the GGA-PBE geometry in Alexandria and λ = 1.5418 Å (Cu Kα).
No peak broadening, texture or thermal motion is included.

Most intense lines, 10° ≤ 2θ ≤ 90°, sorted by position:
37.73 deg, d 2.384, intensity 100, hkl 0 1 2; 40.41 deg, d 2.232, intensity 84, hkl 1 1 0; 43.82 deg, d 2.066, intensity 65, hkl 1 0 2; 48.56 deg, d 1.875, intensity 24, hkl 0 2 0; 59.88 deg, d 1.545, intensity 11, hkl 0 0 4; 67.45 deg, d 1.389, intensity 42, hkl 2 0 0; 74.73 deg, d 1.270, intensity 23, hkl 1 1 4; 79.92 deg, d 1.200, intensity 21, hkl 2 1 2; 80.58 deg, d 1.192, intensity 9, hkl 0 2 4; 83.42 deg, d 1.159, intensity 9, hkl 0 3 2

Structural model:
Unit cell a=2.778 b=3.750 c=6.179 alpha=90.00 beta=90.00 gamma=90.00
Fractional coordinates of all 4 atoms:
1 Zn 0.000 0.000 0.000
2 Tc 0.500 0.500 0.781
3 Ag 0.000 0.000 0.521
4 Ag 0.500 0.500 0.252